Diffraction record for Na2CaSiGe2. The XRD peak list is calculated, not measured: it uses a crystal structure in Alexandria, relaxed with PBE and λ = 1.5418 Å (Cu Kα).
Neutral-atom scattering factors, no anomalous dispersion.

Crystal structure
```
data_Na2CaSiGe2
_cell_length_a 4.317
_cell_length_b 8.690
_cell_length_c 7.344
_cell_angle_alpha 90.00
_cell_angle_beta 90.00
_cell_angle_gamma 90.00
_symmetry_space_group_name_H-M 'P m c 21'
_symmetry_Int_Tables_number 26
_symmetry_space_group_name_Hall 'P 2c -2'
loop_
_atom_site_label
_atom_site_type_symbol
_atom_site_fract_x
_atom_site_fract_y
_atom_site_fract_z
Na1 Na 0.000 0.086 0.000
Na2 Na 0.500 0.158 0.320
Ca1 Ca 0.500 0.444 0.982
Si1 Si 0.000 0.340 0.640
Ge1 Ge 0.000 0.386 0.276
Ge2 Ge 0.500 0.184 0.713
```

The 12 most intense peaks (2θ = 15–90°), in order of rising 2θ:
d [Å], intensity, (hkl)
3.739, 36, 0 2 1
3.672, 22, 0 0 2
3.421, 53, 1 1 1
2.826, 53, 1 2 1
2.804, 23, 0 2 2
2.662, 100, 1 1 2
2.405, 55, 1 3 0
2.354, 47, 0 1 3
2.158, 42, 2 0 0
2.012, 23, 1 3 2
1.870, 26, 0 3 3
1.324, 23, 1 2 5



Diffraction record for Ac2PaAs3Pt4. The XRD peak list is calculated, not measured: it uses a crystal structure in Alexandria, relaxed with PBE and λ = 1.5418 Å (Cu Kα).
Neutral-atom scattering factors, no anomalous dispersion.

Crystal structure
```
data_Ac2PaAs3Pt4
_cell_length_a 4.326
_cell_length_b 4.326
_cell_length_c 11.899
_cell_angle_alpha 90.00
_cell_angle_beta 90.00
_cell_angle_gamma 90.00
_symmetry_space_group_name_H-M 'P -4 m 2'
_symmetry_Int_Tables_number 115
_symmetry_space_group_name_Hall 'P -4 -2'
loop_
_atom_site_label
_atom_site_type_symbol
_atom_site_fract_x
_atom_site_fract_y
_atom_site_fract_z
Ac1 Ac 0.000 0.500 0.227
Pa1 Pa 0.000 0.000 0.500
As1 As 0.000 0.500 0.882
As2 As 0.500 0.500 0.500
Pt1 Pt 0.000 0.000 0.000
Pt2 Pt 0.000 0.500 0.667
Pt3 Pt 0.500 0.500 0.000
```

The 12 most intense peaks (2θ = 15–90°), in order of rising 2θ:
d [Å], intensity, (hkl)
3.499, 13, 1 0 2
2.975, 10, 0 0 4
2.924, 21, 1 0 3
2.721, 100, 1 1 2
2.451, 17, 1 0 4
2.163, 44, 2 0 0
2.133, 13, 1 1 4
2.085, 16, 1 0 5
1.622, 10, 2 1 4
1.530, 15, 2 2 0
1.501, 12, 2 1 5
1.333, 23, 3 1 2



Diffraction record for Cs3U2PbO9. The XRD peak list is calculated, not measured: it uses a crystal structure in Alexandria, relaxed with PBE and λ = 1.5418 Å (Cu Kα).
Neutral-atom scattering factors, no anomalous dispersion.

Crystal structure
```
data_Cs3U2PbO9
_cell_length_a 6.3291
_cell_length_b 6.3291
_cell_length_c 7.7922
_cell_angle_alpha 90.00
_cell_angle_beta 90.00
_cell_angle_gamma 120.00
_symmetry_space_group_name_H-M 'P -3 m 1'
_symmetry_Int_Tables_number 164
_symmetry_space_group_name_Hall '-P 3 2"'
loop_
_atom_site_label
_atom_site_type_symbol
_atom_site_fract_x
_atom_site_fract_y
_atom_site_fract_z
Cs1 Cs 0.0000 0.0000 0.0000
Cs2 Cs 0.3333 0.6667 0.6573
U1 U 0.3333 0.6667 0.1588
Pb1 Pb 0.0000 0.0000 0.5000
O1 O 0.0000 0.5000 0.0000
O2 O 0.1826 0.3652 0.3104
```

The 12 most intense peaks (2θ = 15–90°), in order of rising 2θ:
d [Å], intensity, (hkl)
4.483, 23, 1 0 1
3.176, 100, 0 1 2
3.165, 99, 1 1 0
2.242, 54, 2 0 2
1.836, 21, 1 0 4
1.828, 63, 3 0 0
1.588, 17, 0 2 4
1.582, 18, 2 2 0
1.419, 19, 2 1 4
1.416, 19, 3 1 2
1.198, 11, 1 3 4
1.196, 23, 4 1 0



Diffraction record for CsRb3Fe4I12. The XRD peak list is calculated, not measured: it uses a crystal structure in Alexandria, relaxed with PBE and λ = 1.5418 Å (Cu Kα).
Neutral-atom scattering factors, no anomalous dispersion.

Crystal structure
```
data_CsRb3Fe4I12
_cell_length_a 16.8935
_cell_length_b 16.8935
_cell_length_c 14.8797
_cell_angle_alpha 90.00
_cell_angle_beta 90.00
_cell_angle_gamma 120.00
_symmetry_space_group_name_H-M 'R 3 2'
_symmetry_Int_Tables_number 155
_symmetry_space_group_name_Hall 'R 3 2"'
loop_
_atom_site_label
_atom_site_type_symbol
_atom_site_fract_x
_atom_site_fract_y
_atom_site_fract_z
Cs1 Cs 0.0000 0.0000 0.0000
Rb1 Rb 0.0000 0.5335 0.0000
Fe1 Fe 0.0000 0.0000 0.5000
Fe2 Fe 0.0000 0.4549 0.5000
I1 I 0.0000 0.6051 0.5000
I2 I 0.0000 0.8492 0.5000
I3 I 0.0270 0.2083 0.1559
```

The 12 most intense peaks (2θ = 15–90°), in order of rising 2θ:
d [Å], intensity, (hkl)
5.216, 93, 2 0 2
5.183, 58, 2 1 1
4.960, 89, 0 0 3
3.915, 73, 1 3 1
3.561, 100, 3 1 2
3.316, 38, 0 2 4
3.216, 60, 2 2 3
2.742, 50, 1 3 4
2.589, 31, 5 1 1
2.480, 39, 0 0 6
2.070, 32, 7 0 1
2.012, 33, 0 7 2